Record 1
Calculated X-ray powder pattern
Compound: AcPm6Th2
Radiation: Cu Ka
Structure: a crystal structure in Alexandria, relaxed with GGA-PBE

Peak list (10 most intense, 2θ = 5–70°, sorted by position)
(1 0 0), 3.168 Å, 2θ = 28.17°, I = 56; (0 0 9), 3.045 Å, 2θ = 29.33°, I = 63; (1 0 4), 2.875 Å, 2θ = 31.11°, I = 99; (1 0 5), 2.742 Å, 2θ = 32.65°, I = 100; (1 0 6), 2.603 Å, 2θ = 34.46°, I = 22; (1 0 9), 2.195 Å, 2θ = 41.12°, I = 39; (1 1 0), 1.829 Å, 2θ = 49.87°, I = 47; (1 0 14), 1.665 Å, 2θ = 55.16°, I = 24; (1 1 9), 1.568 Å, 2θ = 58.91°, I = 54; (0 0 18), 1.522 Å, 2θ = 60.88°, I = 24

Structure:
```
data_AcPm6Th2
_cell_length_a 3.6575
_cell_length_b 3.6575
_cell_length_c 27.4016
_cell_angle_alpha 90.00
_cell_angle_beta 90.00
_cell_angle_gamma 120.00
_symmetry_space_group_name_H-M 'P -6 m 2'
_symmetry_Int_Tables_number 187
_symmetry_space_group_name_Hall 'P -6 2'
loop_
_atom_site_label
_atom_site_fract_x
_atom_site_fract_y
_atom_site_fract_z
_atom_site_occupancy
Ac1 0.0000 0.0000 0.0000 1
Pm1 0.0000 0.0000 0.2247 1
Pm2 0.0000 0.0000 0.4374 1
Pm3 0.3333 0.6667 0.1161 1
Th1 0.3333 0.6667 0.3329 1
```

Record 2
Calculated X-ray powder pattern
Compound: UTl2CuBr8
Radiation: Cu Ka
Structure: a crystal structure in Alexandria, relaxed with GGA-PBE

Peak list (10 most intense, 2θ = 5–70°, sorted by position)
(0 0 1), 10.479 Å, 2θ = 8.44°, I = 36; (1 1 0), 5.307 Å, 2θ = 16.70°, I = 100; (1 -1 0), 4.419 Å, 2θ = 20.09°, I = 48; (0 1 -2), 4.157 Å, 2θ = 21.37°, I = 97; (-1 1 2), 3.377 Å, 2θ = 26.40°, I = 52; (1 2 2), 2.792 Å, 2θ = 32.05°, I = 85; (2 1 -2), 2.774 Å, 2θ = 32.28°, I = 26; (-1 2 2), 2.503 Å, 2θ = 35.88°, I = 34; (1 1 -4), 2.349 Å, 2θ = 38.32°, I = 33; (3 0 -2), 2.066 Å, 2θ = 43.81°, I = 37

Structure:
```
data_UTl2CuBr8
_cell_length_a 6.8599
_cell_length_b 6.9529
_cell_length_c 10.4792
_cell_angle_alpha 89.96
_cell_angle_beta 89.84
_cell_angle_gamma 79.56
_symmetry_space_group_name_H-M 'P -1'
_symmetry_Int_Tables_number 2
loop_
_symmetry_equiv_pos_as_xyz
'x,y,z'
'-x,-y,-z'
loop_
_atom_site_label
_atom_site_fract_x
_atom_site_fract_y
_atom_site_fract_z
_atom_site_occupancy
U1 0.0000 0.0000 0.0000 1
Tl1 0.4990 0.5009 0.7244 1
Cu1 0.0000 0.0000 0.5000 1
Br1 0.1225 0.2191 0.1849 1
Br2 0.1247 0.2169 0.8140 1
Br3 0.2905 0.7849 0.4995 1
Br4 0.3598 0.7631 0.0006 1
```

Record 3
Calculated X-ray powder pattern
Compound: La2TiSi4Pt3
Radiation: Cu Ka
Structure: a crystal structure in Alexandria, relaxed with GGA-PBE

Peak list (10 most intense, 2θ = 5–70°, sorted by position)
(1 0 2), 3.289 Å, 2θ = 27.11°, I = 47; (1 1 0), 3.005 Å, 2θ = 29.73°, I = 30; (1 1 1), 2.886 Å, 2θ = 30.98°, I = 61; (1 0 3), 2.684 Å, 2θ = 33.38°, I = 100; (1 1 2), 2.601 Å, 2θ = 34.49°, I = 71; (2 0 0), 2.125 Å, 2θ = 42.55°, I = 67; (1 1 4), 1.965 Å, 2θ = 46.21°, I = 22; (1 0 5), 1.867 Å, 2θ = 48.79°, I = 30; (2 1 3), 1.666 Å, 2θ = 55.13°, I = 48; (2 2 0), 1.502 Å, 2θ = 61.75°, I = 22

Structure:
```
data_La2TiSi4Pt3
_cell_length_a 4.2493
_cell_length_b 4.2493
_cell_length_c 10.3867
_cell_angle_alpha 90.00
_cell_angle_beta 90.00
_cell_angle_gamma 90.00
_symmetry_space_group_name_H-M 'P -4 m 2'
_symmetry_Int_Tables_number 115
loop_
_symmetry_equiv_pos_as_xyz
'x,y,z'
'y,-x,-z'
'-x,-y,z'
'-y,x,-z'
'-x,y,z'
'-y,-x,-z'
'x,-y,z'
'y,x,-z'
loop_
_atom_site_label
_atom_site_fract_x
_atom_site_fract_y
_atom_site_fract_z
_atom_site_occupancy
La1 0.0000 0.5000 0.2416 1
Ti1 0.0000 0.0000 0.5000 1
Si1 0.0000 0.0000 0.0000 1
Si2 0.0000 0.5000 0.6398 1
Si3 0.5000 0.5000 0.0000 1
Pt1 0.0000 0.5000 0.8827 1
Pt2 0.5000 0.5000 0.5000 1
```

Record 4
Calculated X-ray powder pattern
Compound: YZn6CuPd
Radiation: Cu Ka
Structure: a crystal structure in Alexandria, relaxed with GGA-PBE

Peak list (10 most intense, 2θ = 5–70°, sorted by position)
(0 1 1), 7.993 Å, 2θ = 11.07°, I = 100; (0 0 4), 3.447 Å, 2θ = 25.84°, I = 55; (0 1 5), 2.659 Å, 2θ = 33.70°, I = 18; (0 4 0), 2.450 Å, 2θ = 36.68°, I = 67; (2 0 2), 2.427 Å, 2θ = 37.04°, I = 41; (2 2 0), 2.292 Å, 2θ = 39.32°, I = 28; (0 3 5), 2.109 Å, 2θ = 42.87°, I = 21; (0 2 6), 2.084 Å, 2θ = 43.43°, I = 61; (2 2 4), 1.909 Å, 2θ = 47.63°, I = 73; (2 4 2), 1.724 Å, 2θ = 53.13°, I = 32

Structure:
```
data_YZn6CuPd
_cell_length_a 5.1850
_cell_length_b 9.8000
_cell_length_c 13.8131
_cell_angle_alpha 90.00
_cell_angle_beta 90.00
_cell_angle_gamma 90.00
_symmetry_space_group_name_H-M 'I m m a'
_symmetry_Int_Tables_number 74
_symmetry_space_group_name_Hall '-I 2b 2'
loop_
_atom_site_label
_atom_site_fract_x
_atom_site_fract_y
_atom_site_fract_z
_atom_site_occupancy
Y1 0.0000 0.2500 0.1154 1
Zn1 0.0000 0.2500 0.5598 1
Zn2 0.0000 0.2500 0.9103 1
Zn3 0.2489 0.0171 0.6546 1
Cu1 0.0000 0.0000 0.5000 1
Pd1 0.2500 0.2500 0.7500 1
```

Record 5
Calculated X-ray powder pattern
Compound: PrNd3Hg4
Radiation: Cu Ka
Structure: a crystal structure in Alexandria, relaxed with GGA-PBE

Peak list (10 most intense, 2θ = 5–70°, sorted by position)
(1 1 0), 3.836 Å, 2θ = 23.19°, I = 3; (1 1 4), 2.722 Å, 2θ = 32.91°, I = 100; (2 0 0), 2.713 Å, 2θ = 33.02°, I = 50; (2 0 4), 2.220 Å, 2θ = 40.64°, I = 2; (0 0 8), 1.931 Å, 2θ = 47.05°, I = 9; (2 2 0), 1.918 Å, 2θ = 47.40°, I = 18; (2 0 8), 1.573 Å, 2θ = 58.68°, I = 19; (3 1 4), 1.568 Å, 2θ = 58.90°, I = 38; (2 2 8), 1.361 Å, 2θ = 69.01°, I = 12; (4 0 0), 1.356 Å, 2θ = 69.28°, I = 6

Structure:
```
data_PrNd3Hg4
_cell_length_a 5.4251
_cell_length_b 5.4251
_cell_length_c 15.4510
_cell_angle_alpha 90.00
_cell_angle_beta 90.00
_cell_angle_gamma 90.00
_symmetry_space_group_name_H-M 'I 4/m m m'
_symmetry_Int_Tables_number 139
_symmetry_space_group_name_Hall '-I 4 2'
loop_
_atom_site_label
_atom_site_fract_x
_atom_site_fract_y
_atom_site_fract_z
_atom_site_occupancy
Pr1 0.0000 0.0000 0.0000 1
Nd1 0.0000 0.0000 0.2505 1
Nd2 0.0000 0.0000 0.5000 1
Hg1 0.0000 0.5000 0.1258 1
```

Record 6
Calculated X-ray powder pattern
Compound: Sm6Tm
Radiation: Cu Ka
Structure: a crystal structure in Alexandria, relaxed with GGA-PBE

Peak list (10 most intense, 2θ = 5–70°, sorted by position)
(0 0 3), 3.742 Å, 2θ = 23.78°, I = 24; (2 0 1), 3.139 Å, 2θ = 28.43°, I = 100; (1 1 3), 2.909 Å, 2θ = 30.74°, I = 78; (2 1 1), 2.829 Å, 2θ = 31.62°, I = 64; (0 0 4), 2.806 Å, 2θ = 31.89°, I = 27; (2 1 2), 2.593 Å, 2θ = 34.59°, I = 73; (2 2 0), 2.312 Å, 2θ = 38.96°, I = 27; (2 1 5), 1.781 Å, 2θ = 51.30°, I = 22; (3 1 4), 1.665 Å, 2θ = 55.18°, I = 53; (3 3 3), 1.425 Å, 2θ = 65.50°, I = 26

Structure:
```
data_Sm6Tm
_cell_length_a 6.5386
_cell_length_b 6.5386
_cell_length_c 11.2258
_cell_angle_alpha 90.00
_cell_angle_beta 90.00
_cell_angle_gamma 90.00
_symmetry_space_group_name_H-M 'P 4/n b m'
_symmetry_Int_Tables_number 125
loop_
_symmetry_equiv_pos_as_xyz
'x,y,z'
'-x,-y,-z'
'-y+1/2,x,z'
'y+1/2,-x,-z'
'-x+1/2,-y+1/2,z'
'x+1/2,y+1/2,-z'
'y,-x+1/2,z'
'-y,x+1/2,-z'
'x,-y+1/2,-z'
'-x,y+1/2,z'
'-y+1/2,-x+1/2,-z'
'y+1/2,x+1/2,z'
'-x+1/2,y,-z'
'x+1/2,-y,z'
'y,x,-z'
'-y,-x,z'
loop_
_atom_site_label
_atom_site_fract_x
_atom_site_fract_y
_atom_site_fract_z
_atom_site_occupancy
Sm1 0.0818 0.5818 0.1393 1
Sm2 0.2500 0.2500 0.3631 1
Tm1 0.2500 0.7500 0.5000 1
```

Record 7
Calculated X-ray powder pattern
Compound: Dy12Y5Pu
Radiation: Cu Ka
Structure: a crystal structure in Alexandria, relaxed with GGA-PBE

Peak list (10 most intense, 2θ = 5–70°, sorted by position)
(6 0 0), 2.892 Å, 2θ = 30.93°, I = 100; (3 3 1), 2.507 Å, 2θ = 35.82°, I = 34; (6 0 -2), 2.498 Å, 2θ = 35.94°, I = 17; (6 0 2), 1.773 Å, 2θ = 51.56°, I = 12; (9 3 -1), 1.770 Å, 2θ = 51.65°, I = 24; (9 3 1), 1.512 Å, 2θ = 61.33°, I = 21; (6 0 -4), 1.510 Å, 2θ = 61.41°, I = 11; (12 0 -2), 1.507 Å, 2θ = 61.53°, I = 11; (12 0 0), 1.447 Å, 2θ = 64.41°, I = 6; (6 6 -2), 1.445 Å, 2θ = 64.49°, I = 6

Structure:
```
data_Dy12Y5Pu
_cell_length_a 18.3738
_cell_length_b 10.6267
_cell_length_c 6.1328
_cell_angle_alpha 90.00
_cell_angle_beta 109.24
_cell_angle_gamma 90.00
_symmetry_space_group_name_H-M 'C 1 2/m 1'
_symmetry_Int_Tables_number 12
loop_
_symmetry_equiv_pos_as_xyz
'x,y,z'
'-x,-y,-z'
'-x,y,-z'
'x,-y,z'
'x+1/2,y+1/2,z'
'-x+1/2,-y+1/2,-z'
'-x+1/2,y+1/2,-z'
'x+1/2,-y+1/2,z'
loop_
_atom_site_label
_atom_site_fract_x
_atom_site_fract_y
_atom_site_fract_z
_atom_site_occupancy
Dy1 0.0000 0.1644 0.0000 1
Dy2 0.0000 0.3299 0.5000 1
Dy3 0.1653 0.1659 0.4996 1
Dy4 0.1670 0.3332 0.0013 1
Y1 0.0000 0.5000 0.0000 1
Y2 0.1652 0.0000 0.9931 1
Y3 0.1672 0.5000 0.5024 1
Pu1 0.0000 0.0000 0.5000 1
```

Record 8
Calculated X-ray powder pattern
Compound: Ga4Cu
Radiation: Cu Ka
Structure: a crystal structure in Alexandria, relaxed with GGA-PBE

Peak list (10 most intense, 2θ = 5–70°, sorted by position)
(2 0 0), 2.912 Å, 2θ = 30.70°, I = 31; (1 3 1), 2.789 Å, 2θ = 32.09°, I = 24; (0 4 1), 2.739 Å, 2θ = 32.69°, I = 49; (2 2 0), 2.697 Å, 2θ = 33.22°, I = 9; (0 0 2), 2.131 Å, 2θ = 42.42°, I = 37; (0 6 1), 2.080 Å, 2θ = 43.50°, I = 16; (2 4 1), 1.995 Å, 2θ = 45.46°, I = 100; (0 8 0), 1.788 Å, 2θ = 51.09°, I = 13; (2 0 2), 1.720 Å, 2θ = 53.27°, I = 13; (0 8 2), 1.370 Å, 2θ = 68.51°, I = 10

Structure:
```
data_Ga4Cu
_cell_length_a 5.8247
_cell_length_b 14.3012
_cell_length_c 4.2618
_cell_angle_alpha 90.00
_cell_angle_beta 90.00
_cell_angle_gamma 90.00
_symmetry_space_group_name_H-M 'C m c m'
_symmetry_Int_Tables_number 63
_symmetry_space_group_name_Hall '-C 2c 2'
loop_
_atom_site_label
_atom_site_fract_x
_atom_site_fract_y
_atom_site_fract_z
_atom_site_occupancy
Ga1 0.2225 0.0802 0.2500 1
Ga2 0.2288 0.1985 0.7500 1
Cu1 0.0000 0.4415 0.2500 1
```

Record 9
Calculated X-ray powder pattern
Compound: NdMg2Ge2Pt
Radiation: Cu Ka
Structure: a crystal structure in Alexandria, relaxed with GGA-PBE

Peak list (10 most intense, 2θ = 5–70°, sorted by position)
(0 0 2), 9.967 Å, 2θ = 8.87°, I = 100; (0 0 4), 4.983 Å, 2θ = 17.80°, I = 32; (1 0 3), 3.481 Å, 2θ = 25.59°, I = 27; (0 0 6), 3.322 Å, 2θ = 26.84°, I = 28; (1 1 0), 2.890 Å, 2θ = 30.95°, I = 43; (1 1 2), 2.775 Å, 2θ = 32.26°, I = 46; (1 1 6), 2.180 Å, 2θ = 41.41°, I = 55; (2 0 0), 2.043 Å, 2θ = 44.33°, I = 25; (1 1 8), 1.888 Å, 2θ = 48.19°, I = 23; (2 0 6), 1.740 Å, 2θ = 52.59°, I = 18

Structure:
```
data_NdMg2Ge2Pt
_cell_length_a 4.0864
_cell_length_b 4.0864
_cell_length_c 19.9331
_cell_angle_alpha 90.00
_cell_angle_beta 90.00
_cell_angle_gamma 90.00
_symmetry_space_group_name_H-M 'I 4/m m m'
_symmetry_Int_Tables_number 139
_symmetry_space_group_name_Hall '-I 4 2'
loop_
_atom_site_label
_atom_site_fract_x
_atom_site_fract_y
_atom_site_fract_z
_atom_site_occupancy
Nd1 0.0000 0.0000 0.0000 1
Mg1 0.0000 0.5000 0.2500 1
Ge1 0.0000 0.0000 0.1529 1
Pt1 0.0000 0.0000 0.5000 1
```

Record 10
Calculated X-ray powder pattern
Compound: Ce3Dy3ErS8
Radiation: Cu Ka
Structure: a crystal structure in Alexandria, relaxed with GGA-PBE

Peak list (10 most intense, 2θ = 5–70°, sorted by position)
(1 0 1), 6.441 Å, 2θ = 13.75°, I = 9; (0 0 6), 3.272 Å, 2θ = 27.25°, I = 18; (2 0 2), 3.220 Å, 2θ = 27.70°, I = 51; (0 2 4), 2.800 Å, 2θ = 31.96°, I = 100; (2 0 8), 1.992 Å, 2θ = 45.54°, I = 36; (2 2 0), 1.968 Å, 2θ = 46.12°, I = 35; (0 2 10), 1.701 Å, 2θ = 53.88°, I = 9; (2 2 6), 1.687 Å, 2θ = 54.40°, I = 17; (4 0 4), 1.610 Å, 2θ = 57.21°, I = 18; (0 4 8), 1.400 Å, 2θ = 66.82°, I = 11

Structure:
```
data_Ce3Dy3ErS8
_cell_length_a 7.8731
_cell_length_b 7.8731
_cell_length_c 19.6330
_cell_angle_alpha 90.00
_cell_angle_beta 90.00
_cell_angle_gamma 120.00
_symmetry_space_group_name_H-M 'R -3 m'
_symmetry_Int_Tables_number 166
_symmetry_space_group_name_Hall '-R 3 2"'
loop_
_atom_site_label
_atom_site_fract_x
_atom_site_fract_y
_atom_site_fract_z
_atom_site_occupancy
Ce1 0.0000 0.5000 0.0000 1
Dy1 0.0000 0.5000 0.5000 1
Er1 0.0000 0.0000 0.5000 1
S1 0.0000 0.0000 0.2460 1
S2 0.0008 0.5004 0.2460 1
```

Record 11
Calculated X-ray powder pattern
Compound: CuH2O
Radiation: Cu Ka
Structure: a crystal structure in Alexandria, relaxed with GGA-PBE

Peak list (5 most intense, 2θ = 5–70°, sorted by position)
(1 1 1), 3.514 Å, 2θ = 25.35°, I = 43; (2 2 0), 2.152 Å, 2θ = 41.99°, I = 100; (3 1 1), 1.835 Å, 2θ = 49.68°, I = 26; (4 0 0), 1.522 Å, 2θ = 60.88°, I = 14; (3 3 1), 1.396 Å, 2θ = 67.02°, I = 9

Structure:
Cell lengths 6.0865, 6.0865, 6.0865 Å; angles 90.00, 90.00, 90.00 degrees
Space group Fd-3m (No. 227, origin choice 2)
Inequivalent atoms, fractional coordinates:
Cu (0.1250, 0.1250, 0.1250) [8 per cell]
H (0.0000, 0.0000, 0.5000) [16 per cell]
O (0.1250, 0.1250, 0.6250) [8 per cell]

Record 12
Calculated X-ray powder pattern
Compound: PuTh2FeN4
Radiation: Cu Ka
Structure: a crystal structure in Alexandria, relaxed with GGA-PBE

Peak list (10 most intense, 2θ = 5–70°, sorted by position)
(0 2 3), 3.287 Å, 2θ = 27.13°, I = 100; (1 1 1), 3.258 Å, 2θ = 27.37°, I = 23; (1 1 2), 2.947 Å, 2θ = 30.33°, I = 85; (0 4 0), 2.901 Å, 2θ = 30.83°, I = 47; (1 3 1), 2.551 Å, 2θ = 35.17°, I = 38; (1 3 2), 2.393 Å, 2θ = 37.58°, I = 51; (1 1 5), 1.955 Å, 2θ = 46.46°, I = 29; (1 5 2), 1.846 Å, 2θ = 49.36°, I = 26; (1 3 5), 1.765 Å, 2θ = 51.81°, I = 25; (2 2 3), 1.559 Å, 2θ = 59.29°, I = 25

Structure:
```
data_PuTh2FeN4
_cell_length_a 3.5404
_cell_length_b 11.6026
_cell_length_c 11.9678
_cell_angle_alpha 90.00
_cell_angle_beta 90.00
_cell_angle_gamma 90.00
_symmetry_space_group_name_H-M 'C m c m'
_symmetry_Int_Tables_number 63
_symmetry_space_group_name_Hall '-C 2c 2'
loop_
_atom_site_label
_atom_site_fract_x
_atom_site_fract_y
_atom_site_fract_z
_atom_site_occupancy
Pu1 0.0000 0.1022 0.2500 1
Th1 0.0000 0.3682 0.0587 1
Fe1 0.0000 0.1601 0.7500 1
N1 0.0000 0.0000 0.0000 1
N2 0.0000 0.2717 0.6259 1
N3 0.0000 0.4546 0.2500 1
```

Record 13
Calculated X-ray powder pattern
Compound: Cs3TmCu2Br9
Radiation: Cu Ka
Structure: a crystal structure in Alexandria, relaxed with GGA-PBE

Peak list (10 most intense, 2θ = 5–70°, sorted by position)
(0 1 2), 3.871 Å, 2θ = 22.98°, I = 24; (1 1 0), 3.847 Å, 2θ = 23.12°, I = 24; (0 0 3), 3.170 Å, 2θ = 28.15°, I = 18; (0 2 1), 3.144 Å, 2θ = 28.38°, I = 51; (2 0 2), 2.729 Å, 2θ = 32.82°, I = 100; (3 0 0), 2.224 Å, 2θ = 40.56°, I = 16; (0 2 4), 1.935 Å, 2θ = 46.95°, I = 35; (2 2 0), 1.924 Å, 2θ = 47.25°, I = 36; (2 2 3), 1.645 Å, 2θ = 55.91°, I = 15; (0 4 2), 1.572 Å, 2θ = 58.73°, I = 18

Structure:
```
data_Cs3TmCu2Br9
_cell_length_a 7.6946
_cell_length_b 7.6946
_cell_length_c 9.5101
_cell_angle_alpha 90.00
_cell_angle_beta 90.00
_cell_angle_gamma 120.00
_symmetry_space_group_name_H-M 'P -3 m 1'
_symmetry_Int_Tables_number 164
_symmetry_space_group_name_Hall '-P 3 2"'
loop_
_atom_site_label
_atom_site_fract_x
_atom_site_fract_y
_atom_site_fract_z
_atom_site_occupancy
Cs1 0.0000 0.0000 0.0000 1
Cs2 0.3333 0.6667 0.6695 1
Tm1 0.0000 0.0000 0.5000 1
Cu1 0.3333 0.6667 0.1321 1
Br1 0.0000 0.5000 0.0000 1
Br2 0.1693 0.3386 0.3312 1
```